1.
# LiCeMg14
Calculated powder XRD pattern, Cu Kα X-rays. Input: a structure optimized by DFT (GGA-PBE).

Structural model:
Lattice parameters (Å, degrees): 6.5429 6.5429 10.2918 90.00 90.00 120.00
Sites, in units of the cell vectors:
Li  0.0000  0.0000  0.0000
Ce  0.0000  0.0000  0.5000
Mg  0.0003  0.5001  0.0000
Mg  0.0157  0.5078  0.5000
Mg  0.1665  0.3330  0.2416
Mg  0.1665  0.3330  0.7584
Mg  0.1665  0.8335  0.2416
Mg  0.1665  0.8335  0.7584
Mg  0.4922  0.5078  0.5000
Mg  0.4922  0.9843  0.5000
Mg  0.4999  0.9997  0.0000
Mg  0.4999  0.5001  0.0000
Mg  0.6667  0.3333  0.2599
Mg  0.6667  0.3333  0.7401
Mg  0.6670  0.8335  0.2416
Mg  0.6670  0.8335  0.7584

The 12 most intense peaks (2θ from 10° to 90°), sorted by position:
- 15.64 deg, I 17
- 17.87 deg, I 52
- 28.63 deg, I 19
- 30.46 deg, I 17
- 31.58 deg, I 26
- 34.87 deg, I 24
- 36.19 deg, I 100
- 47.75 deg, I 16
- 56.24 deg, I 18
- 63.39 deg, I 18
- 67.90 deg, I 19
- 68.73 deg, I 14

---

2.
# LiCeMg6O8
Calculated powder XRD pattern, Cu Kα X-rays. Input: a structure optimized by DFT (GGA-PBE).

Structural model:
Lattice parameters (Å, degrees): 4.4510 4.4510 8.9013 90.00 90.00 90.00
Sites, in units of the cell vectors:
Li  0.0000  0.0000  0.0000
Ce  0.0000  0.0000  0.5000
Mg  0.0000  0.5000  0.2217
Mg  0.0000  0.5000  0.7783
Mg  0.5000  0.0000  0.2217
Mg  0.5000  0.0000  0.7783
Mg  0.5000  0.5000  0.0000
Mg  0.5000  0.5000  0.5000
O  0.0000  0.0000  0.2396
O  0.0000  0.0000  0.7604
O  0.0000  0.5000  0.0000
O  0.0000  0.5000  0.5000
O  0.5000  0.0000  0.0000
O  0.5000  0.0000  0.5000
O  0.5000  0.5000  0.2523
O  0.5000  0.5000  0.7477

The 12 most intense peaks (2θ from 10° to 90°), sorted by position:
- 19.95 deg, I 31
- 22.33 deg, I 62
- 28.36 deg, I 26
- 30.12 deg, I 55
- 34.92 deg, I 29
- 36.39 deg, I 21
- 40.54 deg, I 100
- 45.57 deg, I 15
- 46.76 deg, I 18
- 55.60 deg, I 17
- 58.67 deg, I 57
- 73.74 deg, I 17

---

3.
# LiCeMg6O8
Calculated powder XRD pattern, Cu Kα X-rays. Input: a structure optimized by DFT (GGA-PBE).

Structural model:
Lattice parameters (Å, degrees): 4.4089 4.4089 8.9657 90.00 90.00 90.00
Sites, in units of the cell vectors:
Li  0.0000  0.0000  0.0000
Ce  0.5000  0.5000  0.0000
Mg  0.0000  0.0000  0.5000
Mg  0.0000  0.5000  0.2675
Mg  0.0000  0.5000  0.7325
Mg  0.5000  0.0000  0.2675
Mg  0.5000  0.0000  0.7325
Mg  0.5000  0.5000  0.5000
O  0.0000  0.0000  0.2654
O  0.0000  0.0000  0.7346
O  0.0000  0.5000  0.0000
O  0.0000  0.5000  0.5000
O  0.5000  0.0000  0.0000
O  0.5000  0.0000  0.5000
O  0.5000  0.5000  0.2685
O  0.5000  0.5000  0.7315

The 12 most intense peaks (2θ from 10° to 90°), sorted by position:
- 20.14 deg, I 62
- 22.47 deg, I 94
- 28.39 deg, I 54
- 30.35 deg, I 23
- 35.06 deg, I 46
- 36.32 deg, I 29
- 40.23 deg, I 49
- 40.94 deg, I 100
- 47.20 deg, I 26
- 58.75 deg, I 57
- 59.28 deg, I 30
- 74.08 deg, I 28

---

4.
# LiCeMg14O16
Calculated powder XRD pattern, Cu Kα X-rays. Input: a structure optimized by DFT (GGA-PBE).

Structural model:
Lattice parameters (Å, degrees): 4.3629 8.6968 8.7076 90.00 90.00 90.00
Sites, in units of the cell vectors:
Li  0.0000  0.0000  0.0000
Ce  0.0000  0.0000  0.5000
Mg  0.0000  0.2551  0.2353
Mg  0.0000  0.2551  0.7647
Mg  0.0000  0.5000  0.0000
Mg  0.0000  0.5000  0.5000
Mg  0.0000  0.7449  0.2353
Mg  0.0000  0.7449  0.7647
Mg  0.5000  0.0000  0.2259
Mg  0.5000  0.0000  0.7741
Mg  0.5000  0.2467  0.0000
Mg  0.5000  0.2668  0.5000
Mg  0.5000  0.5000  0.2445
Mg  0.5000  0.5000  0.7555
Mg  0.5000  0.7332  0.5000
Mg  0.5000  0.7533  0.0000
O  0.0000  0.0000  0.2373
O  0.0000  0.0000  0.7627
O  0.0000  0.2627  0.0000
O  0.0000  0.2662  0.5000
O  0.0000  0.5000  0.2496
O  0.0000  0.5000  0.7504
O  0.0000  0.7338  0.5000
O  0.0000  0.7373  0.0000
O  0.5000  0.0000  0.0000
O  0.5000  0.0000  0.5000
O  0.5000  0.2491  0.2516
O  0.5000  0.2491  0.7484
O  0.5000  0.5000  0.0000
O  0.5000  0.5000  0.5000
O  0.5000  0.7509  0.2516
O  0.5000  0.7509  0.7484

The 12 most intense peaks (2θ from 10° to 90°), sorted by position:
- 10.16 deg, I 47
- 14.39 deg, I 34
- 22.83 deg, I 42
- 25.02 deg, I 28
- 30.80 deg, I 36
- 35.71 deg, I 30
- 37.24 deg, I 16
- 41.43 deg, I 100
- 41.53 deg, I 50
- 60.06 deg, I 57
- 60.15 deg, I 27
- 75.64 deg, I 25

---

5.
# LiCeMg14O16
Calculated powder XRD pattern, Cu Kα X-rays. Input: a structure optimized by DFT (GGA-PBE).

Structural model:
Lattice parameters (Å, degrees): 8.6925 8.6925 4.3612 90.00 90.00 90.00
Sites, in units of the cell vectors:
Li  0.0000  0.0000  0.0000
Ce  0.5000  0.5000  0.0000
Mg  0.0000  0.2411  0.5000
Mg  0.0000  0.5000  0.0000
Mg  0.0000  0.7589  0.5000
Mg  0.2308  0.5000  0.5000
Mg  0.2359  0.2359  0.0000
Mg  0.2359  0.7641  0.0000
Mg  0.2411  0.0000  0.5000
Mg  0.5000  0.0000  0.0000
Mg  0.5000  0.2308  0.5000
Mg  0.5000  0.7692  0.5000
Mg  0.7589  0.0000  0.5000
Mg  0.7641  0.2359  0.0000
Mg  0.7641  0.7641  0.0000
Mg  0.7692  0.5000  0.5000
O  0.0000  0.0000  0.5000
O  0.0000  0.2561  0.0000
O  0.0000  0.5000  0.5000
O  0.0000  0.7439  0.0000
O  0.2347  0.5000  0.0000
O  0.2516  0.2516  0.5000
O  0.2516  0.7484  0.5000
O  0.2561  0.0000  0.0000
O  0.5000  0.0000  0.5000
O  0.5000  0.2347  0.0000
O  0.5000  0.5000  0.5000
O  0.5000  0.7653  0.0000
O  0.7439  0.0000  0.0000
O  0.7484  0.2516  0.5000
O  0.7484  0.7484  0.5000
O  0.7653  0.5000  0.0000

The 12 most intense peaks (2θ from 10° to 90°), sorted by position:
- 10.18 deg, I 68
- 20.41 deg, I 15
- 22.85 deg, I 61
- 30.83 deg, I 53
- 35.74 deg, I 31
- 37.28 deg, I 20
- 41.41 deg, I 53
- 41.56 deg, I 100
- 47.88 deg, I 17
- 60.11 deg, I 59
- 60.22 deg, I 28
- 75.72 deg, I 26

---

6.
# Li2CeN2
Calculated powder XRD pattern, Cu Kα X-rays. Input: a structure optimized by DFT (GGA-PBE).

Structural model:
Lattice parameters (Å, degrees): 3.5913 3.5913 5.4716 90.00 90.00 120.00
Sites, in units of the cell vectors:
Li  0.3333  0.6667  0.3943
Li  0.6667  0.3333  0.6057
Ce  0.0000  0.0000  0.0000
N  0.3333  0.6667  0.7743
N  0.6667  0.3333  0.2257

The 12 most intense peaks (2θ from 10° to 90°), sorted by position:
- 16.20 deg, I 87
- 28.70 deg, I 51
- 32.73 deg, I 11
- 33.13 deg, I 100
- 44.09 deg, I 51
- 50.85 deg, I 22
- 53.73 deg, I 23
- 58.68 deg, I 20
- 61.80 deg, I 12
- 62.05 deg, I 16
- 69.53 deg, I 12
- 84.25 deg, I 14

---

7.
# Li5Ce5Si4N12
Calculated powder XRD pattern, Cu Kα X-rays. Input: a structure optimized by DFT (GGA-PBE).

Structural model:
Lattice parameters (Å, degrees): 10.9237 10.9237 5.5579 90.00 90.00 90.00
Sites, in units of the cell vectors:
Li  0.0000  0.5000  0.0000
Li  0.1119  0.2926  0.1477
Li  0.2074  0.3881  0.8523
Li  0.2926  0.8881  0.8523
Li  0.3881  0.7926  0.1477
Li  0.5000  0.0000  0.0000
Li  0.6119  0.2074  0.1477
Li  0.7074  0.1119  0.8523
Li  0.7926  0.6119  0.8523
Li  0.8881  0.7074  0.1477
Ce  0.0000  0.5000  0.5000
Ce  0.1172  0.8794  0.2707
Ce  0.1206  0.1172  0.7293
Ce  0.3794  0.6172  0.7293
Ce  0.3828  0.3794  0.2707
Ce  0.5000  0.0000  0.5000
Ce  0.6172  0.6206  0.2707
Ce  0.6206  0.3828  0.7293
Ce  0.8794  0.8828  0.7293
Ce  0.8828  0.1206  0.2707
Si  0.1097  0.7333  0.7622
Si  0.2333  0.6097  0.2378
Si  0.2667  0.1097  0.2378
Si  0.3903  0.2333  0.7622
Si  0.6097  0.7667  0.7622
Si  0.7333  0.8903  0.2378
Si  0.7667  0.3903  0.2378
Si  0.8903  0.2667  0.7622
N  0.0326  0.3338  0.7959
N  0.1036  0.8948  0.7369
N  0.1052  0.1036  0.2631
N  0.1662  0.4674  0.2041
N  0.1760  0.6760  0.5000
N  0.2139  0.7139  0.0000
N  0.2861  0.2139  0.0000
N  0.3240  0.1760  0.5000
N  0.3338  0.9674  0.2041
N  0.3948  0.6036  0.2631
N  0.3964  0.3948  0.7369
N  0.4674  0.8338  0.7959
N  0.5326  0.1662  0.7959
N  0.6036  0.6052  0.7369
N  0.6052  0.3964  0.2631
N  0.6662  0.0326  0.2041
N  0.6760  0.8240  0.5000
N  0.7139  0.7861  0.0000
N  0.7861  0.2861  0.0000
N  0.8240  0.3240  0.5000
N  0.8338  0.5326  0.2041
N  0.8948  0.8964  0.2631
N  0.8964  0.1052  0.7369
N  0.9674  0.6662  0.7959

The 12 most intense peaks (2θ from 10° to 90°), sorted by position:
- 11.46 deg, I 32
- 22.83 deg, I 22
- 24.26 deg, I 99
- 25.79 deg, I 66
- 30.47 deg, I 21
- 32.21 deg, I 23
- 32.79 deg, I 27
- 33.69 deg, I 100
- 34.29 deg, I 48
- 42.18 deg, I 45
- 46.63 deg, I 54
- 47.73 deg, I 28

---

8.
# LiCe2O3
Calculated powder XRD pattern, Cu Kα X-rays. Input: a structure optimized by DFT (GGA-PBE).

Structural model:
Lattice parameters (Å, degrees): 3.4748 3.4748 8.0805 90.00 90.00 120.00
Sites, in units of the cell vectors:
Li  0.0000  0.0000  0.0000
Ce  0.3333  0.6667  0.6804
Ce  0.6667  0.3333  0.3196
O  0.0000  0.0000  0.5000
O  0.3333  0.6667  0.1602
O  0.6667  0.3333  0.8398

The 12 most intense peaks (2θ from 10° to 90°), sorted by position:
- 10.95 deg, I 63
- 22.00 deg, I 32
- 29.69 deg, I 28
- 31.73 deg, I 100
- 33.26 deg, I 19
- 37.26 deg, I 97
- 45.18 deg, I 20
- 52.68 deg, I 33
- 54.73 deg, I 37
- 62.82 deg, I 15
- 63.74 deg, I 19
- 66.29 deg, I 17

---

9.
# LiCeO3
Calculated powder XRD pattern, Cu Kα X-rays. Input: a structure optimized by DFT (GGA-PBE).

Structural model:
Lattice parameters (Å, degrees): 3.6834 3.6834 3.6834 90.00 90.00 90.00
Sites, in units of the cell vectors:
Li  0.0000  0.0000  0.0000
Ce  0.5000  0.5000  0.5000
O  0.0000  0.0000  0.5000
O  0.0000  0.5000  0.0000
O  0.5000  0.0000  0.0000

The 10 most intense peaks (2θ from 10° to 90°), sorted by position:
- 24.16 deg, I 100
- 34.43 deg, I 97
- 42.51 deg, I 73
- 49.49 deg, I 38
- 55.81 deg, I 43
- 61.68 deg, I 38
- 72.60 deg, I 22
- 77.79 deg, I 21
- 82.88 deg, I 17
- 87.92 deg, I 24

---

10.
# LiCe2O3
Calculated powder XRD pattern, Cu Kα X-rays. Input: a structure optimized by DFT (GGA-PBE).

Structural model:
Lattice parameters (Å, degrees): 7.1484 3.9415 6.9665 90.00 109.25 90.00
Sites, in units of the cell vectors:
Li  0.0000  0.0000  0.0000
Li  0.5000  0.5000  0.0000
Ce  0.2318  0.0000  0.7181
Ce  0.2769  0.5000  0.2948
Ce  0.7318  0.5000  0.7181
Ce  0.7769  0.0000  0.2948
O  0.1138  0.0000  0.3214
O  0.1772  0.5000  0.9490
O  0.3954  0.5000  0.6712
O  0.6138  0.5000  0.3214
O  0.6772  0.0000  0.9490
O  0.8954  0.0000  0.6712

The 12 most intense peaks (2θ from 10° to 90°), sorted by position:
- 13.46 deg, I 13
- 26.41 deg, I 54
- 27.12 deg, I 45
- 27.43 deg, I 100
- 31.09 deg, I 27
- 31.54 deg, I 47
- 41.20 deg, I 26
- 44.41 deg, I 49
- 45.33 deg, I 25
- 46.06 deg, I 18
- 53.12 deg, I 17
- 53.87 deg, I 15